[1]
Starting from a structure optimized by DFT (PBE), the XRD peak list of SiB2C2 was computed for Cu Kα (λ = 1.5418 Å).
Kinematic intensities with the Lorentz-polarization factor, no thermal factor.

Largest 10 diffraction maxima, by intensity, 10° ≤ 2θ ≤ 90°:
21.32 deg, intensity 100; 38.63 deg, intensity 41; 43.45 deg, intensity 25; 43.32 deg, intensity 24; 35.35 deg, intensity 21; 59.43 deg, intensity 18; 72.46 deg, intensity 18; 37.32 deg, intensity 15; 52.43 deg, intensity 12; 86.72 deg, intensity 12

Structure:
```
data_SiB2C2
_symmetry_space_group_name_H-M 'P 1'
_symmetry_Int_Tables_number 1
_symmetry_space_group_name_Hall 'P 1'
_cell_length_a 4.9996
_cell_length_b 4.9996
_cell_length_c 4.9996
_cell_angle_alpha 149.09
_cell_angle_beta 122.55
_cell_angle_gamma 66.68
loop_
_atom_site_label
_atom_site_type_symbol
_atom_site_fract_x
_atom_site_fract_y
_atom_site_fract_z
Si1 Si 0.0000 0.0000 0.0000
B1 B 0.5532 0.7314 0.8218
B2 B 0.9095 0.7314 0.1782
C1 C 0.0777 0.2304 0.8473
C2 C 0.3832 0.2304 0.1527
```

[2]
Starting from a structure optimized by DFT (PBE), the XRD peak list of BaAg2I4 was computed for Cu Kα (λ = 1.5418 Å).
Kinematic intensities with the Lorentz-polarization factor, no thermal factor.

Largest 10 diffraction maxima, by intensity, 10° ≤ 2θ ≤ 90°:
27.94 deg, intensity 100; 21.28 deg, intensity 66; 33.87 deg, intensity 51; 30.68 deg, intensity 43; 26.55 deg, intensity 40; 28.89 deg, intensity 35; 16.59 deg, intensity 33; 36.88 deg, intensity 31; 45.90 deg, intensity 27; 51.27 deg, intensity 25

Structure:
```
data_BaAg2I4
_symmetry_space_group_name_H-M 'P 1'
_symmetry_Int_Tables_number 1
_symmetry_space_group_name_Hall 'P 1'
_cell_length_a 9.7429
_cell_length_b 8.5755
_cell_length_c 10.8661
_cell_angle_alpha 58.75
_cell_angle_beta 48.80
_cell_angle_gamma 72.45
loop_
_atom_site_label
_atom_site_type_symbol
_atom_site_fract_x
_atom_site_fract_y
_atom_site_fract_z
Ba1 Ba 0.0000 0.0000 0.0000
Ba2 Ba 0.2500 0.2500 0.2500
Ag1 Ag 0.1243 0.6252 0.6251
Ag2 Ag 0.6252 0.1243 0.6254
Ag3 Ag 0.6249 0.6246 0.1257
Ag4 Ag 0.6246 0.6249 0.6248
I1 I 0.2705 0.3517 0.5144
I2 I 0.3517 0.2705 0.8634
I3 I 0.3866 0.7356 0.8983
I4 I 0.5143 0.8638 0.2707
I5 I 0.7356 0.3866 0.9795
I6 I 0.8638 0.5143 0.3513
I7 I 0.8987 0.9793 0.3862
I8 I 0.9793 0.8987 0.7357
```

[3]
Starting from a structure optimized by DFT (PBE), the XRD peak list of In3As was computed for Cu Kα (λ = 1.5418 Å).
Kinematic intensities with the Lorentz-polarization factor, no thermal factor.

Largest 10 diffraction maxima, by intensity, 10° ≤ 2θ ≤ 90°:
34.04 deg, intensity 100; 34.49 deg, intensity 54; 61.51 deg, intensity 35; 49.58 deg, intensity 19; 60.62 deg, intensity 13; 26.97 deg, intensity 9; 82.78 deg, intensity 9; 83.06 deg, intensity 8; 71.65 deg, intensity 8; 50.47 deg, intensity 7

Structure:
```
data_In3As
_symmetry_space_group_name_H-M 'P 1'
_symmetry_Int_Tables_number 1
_symmetry_space_group_name_Hall 'P 1'
_cell_length_a 3.6771
_cell_length_b 3.6771
_cell_length_c 7.5502
_cell_angle_alpha 90.00
_cell_angle_beta 90.00
_cell_angle_gamma 90.00
loop_
_atom_site_label
_atom_site_type_symbol
_atom_site_fract_x
_atom_site_fract_y
_atom_site_fract_z
In1 In 0.0000 0.0000 0.0000
In2 In 0.5000 0.5000 0.2860
In3 In 0.5000 0.5000 0.7140
As1 As 0.0000 0.0000 0.5000
```

[4]
Starting from a structure optimized by DFT (PBE), the XRD peak list of CaAl2CdAg5 was computed for Cu Kα (λ = 1.5418 Å).
Kinematic intensities with the Lorentz-polarization factor, no thermal factor.

Largest 10 diffraction maxima, by intensity, 10° ≤ 2θ ≤ 90°:
34.67 deg, intensity 100; 36.39 deg, intensity 55; 64.37 deg, intensity 30; 52.40 deg, intensity 18; 21.37 deg, intensity 17; 61.00 deg, intensity 17; 73.15 deg, intensity 9; 47.18 deg, intensity 9; 79.52 deg, intensity 9; 39.55 deg, intensity 8

Structure:
```
data_CaAl2CdAg5
_symmetry_space_group_name_H-M 'P 1'
_symmetry_Int_Tables_number 1
_symmetry_space_group_name_Hall 'P 1'
_cell_length_a 4.9384
_cell_length_b 4.9384
_cell_length_c 7.7062
_cell_angle_alpha 90.00
_cell_angle_beta 90.00
_cell_angle_gamma 90.00
loop_
_atom_site_label
_atom_site_type_symbol
_atom_site_fract_x
_atom_site_fract_y
_atom_site_fract_z
Ca1 Ca 0.0000 0.0000 0.0000
Al1 Al 0.5000 0.5000 0.3387
Al2 Al 0.5000 0.5000 0.6613
Cd1 Cd 0.0000 0.0000 0.5000
Ag1 Ag 0.0000 0.5000 0.2373
Ag2 Ag 0.0000 0.5000 0.7627
Ag3 Ag 0.5000 0.0000 0.2373
Ag4 Ag 0.5000 0.0000 0.7627
Ag5 Ag 0.5000 0.5000 0.0000
```